Record 1
For Zr4Zn3W, a cell relaxed with GGA-PBE gives the computed powder X-ray diffraction pattern in this record (λ = 1.5418 Å (Cu Kα)).
Lines closer than 0.1° are merged.

Largest 10 diffraction maxima, by angle, 2θ from 5° to 70°:
6.7°, I = 28; 13.4°, I = 7; 27.2°, I = 5; 29.7°, I = 3; 37.6°, I = 52; 38.1°, I = 100; 54.2°, I = 18; 55.8°, I = 9; 68.2°, I = 35; 69.2°, I = 16

Cell and atoms:
Cell: 3.3851 3.3851 13.1832 Å, 90.00 90.00 90.00°
Fractional coordinates of all 8 atoms:
Zr: 0.0000 0.0000 0.1217
Zr: 0.0000 0.0000 0.3746
Zr: 0.0000 0.0000 0.6254
Zr: 0.0000 0.0000 0.8783
Zn: 0.5000 0.5000 0.2503
Zn: 0.5000 0.5000 0.5000
Zn: 0.5000 0.5000 0.7497
W: 0.5000 0.5000 0.0000

=====

Record 2
For Er2Tm5Th2, a cell relaxed with GGA-PBE gives the computed powder X-ray diffraction pattern in this record (λ = 1.5418 Å (Cu Kα)).
Lines closer than 0.1° are merged.

Largest 10 diffraction maxima, by angle, 2θ from 5° to 70°:
31.1°, I = 100; 36.0°, I = 34; 36.4°, I = 16; 51.7°, I = 6; 51.9°, I = 6; 52.1°, I = 24; 61.6°, I = 18; 61.7°, I = 11; 62.2°, I = 14; 64.9°, I = 9

Cell and atoms:
Cell: 3.5355 7.8126 10.5785 Å, 102.97 90.06 103.06°
Fractional coordinates of all 9 atoms:
Er: 0.1657 0.3316 0.3886
Er: 0.8343 0.6684 0.6114
Tm: 0.1625 0.3252 0.0537
Tm: 0.1650 0.3289 0.7216
Tm: 0.5000 0.0000 0.5000
Tm: 0.8350 0.6711 0.2784
Tm: 0.8375 0.6748 0.9463
Th: 0.4994 0.0002 0.8341
Th: 0.5006 0.9998 0.1659

=====

Record 3
For CaCeNd2Bi4, a cell relaxed with GGA-PBE gives the computed powder X-ray diffraction pattern in this record (λ = 1.5418 Å (Cu Kα)).
Lines closer than 0.1° are merged.

Largest 10 diffraction maxima, by angle, 2θ from 5° to 70°:
23.6°, I = 10; 27.4°, I = 100; 39.1°, I = 53; 39.2°, I = 26; 48.3°, I = 7; 48.4°, I = 14; 48.6°, I = 7; 56.5°, I = 9; 63.8°, I = 19; 63.9°, I = 6

Cell and atoms:
Cell: 7.9451 4.6094 7.9913 Å, 90.00 109.30 90.00°
Fractional coordinates of all 8 atoms:
Ca: 0.0000 0.0000 0.0000
Ce: 0.5000 0.5000 0.0000
Nd: 0.0000 0.5000 0.5000
Nd: 0.5000 0.0000 0.5000
Bi: 0.2534 0.5000 0.2476
Bi: 0.2539 0.0000 0.7538
Bi: 0.7461 0.0000 0.2462
Bi: 0.7466 0.5000 0.7524

=====

Record 4
For Li8Bi2Pt, a cell relaxed with GGA-PBE gives the computed powder X-ray diffraction pattern in this record (λ = 1.5418 Å (Cu Kα)).
Lines closer than 0.1° are merged.

Largest 10 diffraction maxima, by angle, 2θ from 5° to 70°:
23.6°, I = 100; 23.8°, I = 97; 27.1°, I = 68; 28.1°, I = 32; 38.4°, I = 18; 39.4°, I = 62; 45.7°, I = 36; 46.1°, I = 33; 47.1°, I = 17; 62.8°, I = 20

Cell and atoms:
Cell: 7.9731 7.9731 7.9731 Å, 145.84 133.07 59.31°
Fractional coordinates of all 11 atoms:
Li: 0.1133 0.3585 0.7548
Li: 0.1818 0.1818 0.0000
Li: 0.2426 0.0000 0.2426
Li: 0.3964 0.6415 0.7548
Li: 0.6036 0.3585 0.2452
Li: 0.7574 0.0000 0.7574
Li: 0.8182 0.8182 0.0000
Li: 0.8867 0.6415 0.2452
Bi: 0.3244 0.8244 0.5000
Bi: 0.6756 0.1756 0.5000
Pt: 0.0000 0.5000 0.5000

=====

Record 5
For Ba6InH2, a cell relaxed with GGA-PBE gives the computed powder X-ray diffraction pattern in this record (λ = 1.5418 Å (Cu Kα)).
Lines closer than 0.1° are merged.

Largest 10 diffraction maxima, by angle, 2θ from 5° to 70°:
23.3°, I = 31; 23.9°, I = 40; 24.3°, I = 61; 25.6°, I = 79; 25.9°, I = 41; 26.3°, I = 24; 27.0°, I = 100; 27.7°, I = 35; 29.8°, I = 24; 34.7°, I = 22

Cell and atoms:
Cell: 10.2693 10.2693 8.4684 Å, 108.33 108.33 77.77°
Fractional coordinates of all 18 atoms:
Ba: 0.0431 0.2370 0.4928
Ba: 0.0997 0.6605 0.9808
Ba: 0.2370 0.0431 0.9928
Ba: 0.3239 0.4121 0.3534
Ba: 0.3395 0.9003 0.5192
Ba: 0.4121 0.3239 0.8534
Ba: 0.5879 0.6761 0.1466
Ba: 0.6605 0.0997 0.4808
Ba: 0.6761 0.5879 0.6466
Ba: 0.7630 0.9569 0.0072
Ba: 0.9003 0.3395 0.0192
Ba: 0.9569 0.7630 0.5072
In: 0.3297 0.6703 0.7500
In: 0.6703 0.3297 0.2500
H: 0.1254 0.2484 0.2249
H: 0.2484 0.1254 0.7249
H: 0.7516 0.8746 0.2751
H: 0.8746 0.7516 0.7751

=====

Record 6
For La6NdSm3, a cell relaxed with GGA-PBE gives the computed powder X-ray diffraction pattern in this record (λ = 1.5418 Å (Cu Kα)).
Lines closer than 0.1° are merged.

Largest 10 diffraction maxima, by angle, 2θ from 5° to 70°:
21.9°, I = 20; 25.3°, I = 37; 28.5°, I = 45; 29.8°, I = 100; 31.2°, I = 38; 32.5°, I = 34; 33.7°, I = 27; 33.8°, I = 19; 34.9°, I = 37; 38.4°, I = 20

Cell and atoms:
Cell: 8.4102 8.4102 8.4102 Å, 113.63 113.63 113.63°
Fractional coordinates of all 10 atoms:
La: 0.0022 0.4989 0.4989
La: 0.0451 0.0451 0.4099
La: 0.0451 0.4099 0.0451
La: 0.4099 0.0451 0.0451
La: 0.4989 0.0022 0.4989
La: 0.4989 0.4989 0.0022
Nd: 0.3498 0.3498 0.3498
Sm: 0.6366 0.8726 0.8726
Sm: 0.8726 0.6366 0.8726
Sm: 0.8726 0.8726 0.6366

=====

Record 7
For Nd4GaSbS9, a cell relaxed with GGA-PBE gives the computed powder X-ray diffraction pattern in this record (λ = 1.5418 Å (Cu Kα)).
Lines closer than 0.1° are merged.

Largest 10 diffraction maxima, by angle, 2θ from 5° to 70°:
24.4°, I = 62; 25.0°, I = 29; 26.0°, I = 100; 29.3°, I = 29; 32.6°, I = 30; 32.7°, I = 30; 33.5°, I = 31; 35.2°, I = 42; 35.8°, I = 52; 49.4°, I = 43

Cell and atoms:
Cell: 13.8627 10.1892 10.1892 Å, 88.71 90.00 90.00°
Fractional coordinates of all 60 atoms:
Nd: 0.1000 0.1738 0.8262
Nd: 0.1050 0.6621 0.4397
Nd: 0.1826 0.4481 0.1162
Nd: 0.1865 0.9013 0.1183
Nd: 0.3135 0.4013 0.6183
Nd: 0.3174 0.9481 0.6162
Nd: 0.3950 0.1621 0.9397
Nd: 0.4000 0.6738 0.3262
Nd: 0.6000 0.3262 0.6738
Nd: 0.6050 0.9397 0.1621
Nd: 0.6826 0.6162 0.9481
Nd: 0.6865 0.6183 0.4013
Nd: 0.8135 0.1183 0.9013
Nd: 0.8174 0.1162 0.4481
Nd: 0.8950 0.4397 0.6621
Nd: 0.9000 0.8262 0.1738
Ga: 0.0923 0.1670 0.3762
Ga: 0.4077 0.6670 0.8762
Ga: 0.5923 0.8762 0.6670
Ga: 0.9077 0.3762 0.1670
Sb: 0.1129 0.6542 0.8138
Sb: 0.3871 0.1542 0.3138
Sb: 0.6129 0.3138 0.1542
Sb: 0.8871 0.8138 0.6542
S: 0.0000 0.3596 0.3596
S: 0.0000 0.9967 0.9967
S: 0.0065 0.3732 0.9856
S: 0.0698 0.6780 0.1707
S: 0.0806 0.8377 0.6556
S: 0.1000 0.4735 0.6549
S: 0.1887 0.1701 0.5625
S: 0.2003 0.1725 0.2010
S: 0.2466 0.8493 0.3814
S: 0.2471 0.9887 0.8711
S: 0.2534 0.3493 0.8814
S: 0.2529 0.4887 0.3711
S: 0.2997 0.6725 0.7010
S: 0.3113 0.6701 0.0625
S: 0.4000 0.9735 0.1549
S: 0.4194 0.3377 0.1556
S: 0.4302 0.1780 0.6707
S: 0.4935 0.8732 0.4856
S: 0.5000 0.4967 0.4967
S: 0.5000 0.8596 0.8596
S: 0.5065 0.4856 0.8732
S: 0.5698 0.6707 0.1780
S: 0.5806 0.1556 0.3377
S: 0.6000 0.1549 0.9735
S: 0.6887 0.0625 0.6701
S: 0.7003 0.7010 0.6725
S: 0.7471 0.3711 0.4887
S: 0.7466 0.8814 0.3493
S: 0.7534 0.3814 0.8493
S: 0.7529 0.8711 0.9887
S: 0.7997 0.2010 0.1725
S: 0.8113 0.5625 0.1701
S: 0.9000 0.6549 0.4735
S: 0.9194 0.6556 0.8377
S: 0.9302 0.1707 0.6780
S: 0.9935 0.9856 0.3732

=====

Record 8
For K2SrGeBr6, a cell relaxed with GGA-PBE gives the computed powder X-ray diffraction pattern in this record (λ = 1.5418 Å (Cu Kα)).
Lines closer than 0.1° are merged.

Largest 10 diffraction maxima, by angle, 2θ from 5° to 70°:
15.8°, I = 100; 25.5°, I = 39; 25.9°, I = 47; 26.4°, I = 38; 26.6°, I = 94; 31.9°, I = 73; 32.0°, I = 39; 35.0°, I = 42; 35.9°, I = 46; 40.2°, I = 38

Cell and atoms:
Cell: 7.7436 8.1635 13.5250 Å, 90.00 124.22 90.00°
Fractional coordinates of all 20 atoms:
K: 0.2195 0.0779 0.2477
K: 0.2195 0.4221 0.7477
K: 0.7805 0.5779 0.2523
K: 0.7805 0.9221 0.7523
Sr: 0.5000 0.0000 0.0000
Sr: 0.5000 0.5000 0.5000
Ge: 0.0000 0.0000 0.5000
Ge: 0.0000 0.5000 0.0000
Br: 0.1226 0.2070 0.9399
Br: 0.1226 0.2930 0.4399
Br: 0.2395 0.6889 0.9423
Br: 0.2395 0.8111 0.4423
Br: 0.3546 0.0353 0.7391
Br: 0.3546 0.4647 0.2391
Br: 0.6454 0.5353 0.7609
Br: 0.6454 0.9647 0.2609
Br: 0.7605 0.1889 0.5577
Br: 0.7605 0.3111 0.0577
Br: 0.8774 0.7070 0.5601
Br: 0.8774 0.7930 0.0601

=====

Record 9
For La2Dy5Ho5, a cell relaxed with GGA-PBE gives the computed powder X-ray diffraction pattern in this record (λ = 1.5418 Å (Cu Kα)).
Lines closer than 0.1° are merged.

Largest 7 diffraction maxima, by angle, 2θ from 5° to 70°:
30.7°, I = 100; 35.5°, I = 34; 35.6°, I = 17; 51.1°, I = 36; 60.7°, I = 14; 60.8°, I = 29; 63.8°, I = 12

Cell and atoms:
Cell: 7.9998 7.9998 11.2860 Å, 115.14 115.14 36.80°
Fractional coordinates of all 12 atoms:
La: 0.0825 0.0825 0.2492
La: 0.9175 0.9175 0.7508
Dy: 0.0000 0.0000 0.5000
Dy: 0.1683 0.1683 0.0002
Dy: 0.2471 0.2471 0.7484
Dy: 0.7529 0.7529 0.2516
Dy: 0.8317 0.8317 0.9998
Ho: 0.3337 0.3337 0.4993
Ho: 0.4146 0.4146 0.2498
Ho: 0.5000 0.5000 0.0000
Ho: 0.5854 0.5854 0.7502
Ho: 0.6663 0.6663 0.5007

=====

Record 10
For Pa6RuRh5, a cell relaxed with GGA-PBE gives the computed powder X-ray diffraction pattern in this record (λ = 1.5418 Å (Cu Kα)).
Lines closer than 0.1° are merged.

Largest 10 diffraction maxima, by angle, 2θ from 5° to 70°:
26.1°, I = 16; 27.0°, I = 37; 33.0°, I = 100; 33.1°, I = 12; 37.6°, I = 36; 42.8°, I = 22; 46.1°, I = 46; 54.0°, I = 12; 54.8°, I = 13; 57.9°, I = 16

Cell and atoms:
Cell: 6.8163 6.8163 13.4546 Å, 90.00 90.00 120.00°
Fractional coordinates of all 24 atoms:
Pa: 0.0000 0.3135 0.1162
Pa: 0.0000 0.3135 0.3838
Pa: 0.0000 0.6865 0.6162
Pa: 0.0000 0.6865 0.8838
Pa: 0.3135 0.0000 0.1162
Pa: 0.3135 0.0000 0.3838
Pa: 0.3135 0.3135 0.6162
Pa: 0.3135 0.3135 0.8838
Pa: 0.6865 0.0000 0.6162
Pa: 0.6865 0.0000 0.8838
Pa: 0.6865 0.6865 0.1162
Pa: 0.6865 0.6865 0.3838
Ru: 0.0000 0.0000 0.2500
Ru: 0.0000 0.0000 0.7500
Rh: 0.0000 0.4039 0.7500
Rh: 0.0000 0.5961 0.2500
Rh: 0.3333 0.6667 0.0000
Rh: 0.3333 0.6667 0.5000
Rh: 0.4039 0.0000 0.7500
Rh: 0.4039 0.4039 0.2500
Rh: 0.5961 0.0000 0.2500
Rh: 0.5961 0.5961 0.7500
Rh: 0.6667 0.3333 0.0000
Rh: 0.6667 0.3333 0.5000

=====

Record 11
For Pr11Tl9Pd4, a cell relaxed with GGA-PBE gives the computed powder X-ray diffraction pattern in this record (λ = 1.5418 Å (Cu Kα)).
Lines closer than 0.1° are merged.

Largest 10 diffraction maxima, by angle, 2θ from 5° to 70°:
29.3°, I = 11; 30.2°, I = 10; 30.8°, I = 11; 31.3°, I = 14; 33.0°, I = 100; 33.3°, I = 46; 35.8°, I = 12; 36.3°, I = 13; 46.9°, I = 16; 58.7°, I = 18

Cell and atoms:
Cell: 13.7362 13.7362 3.8724 Å, 90.00 90.00 112.74°
Fractional coordinates of all 24 atoms:
Pr: 0.0000 0.0000 0.0000
Pr: 0.0745 0.4143 0.0000
Pr: 0.1632 0.8368 0.0000
Pr: 0.3089 0.3089 0.0000
Pr: 0.3724 0.6276 0.0000
Pr: 0.4143 0.0745 0.0000
Pr: 0.5857 0.9255 0.0000
Pr: 0.6276 0.3724 0.0000
Pr: 0.6911 0.6911 0.0000
Pr: 0.8368 0.1632 0.0000
Pr: 0.9255 0.5857 0.0000
Tl: 0.0725 0.2163 0.5000
Tl: 0.1571 0.6310 0.5000
Tl: 0.2163 0.0725 0.5000
Tl: 0.3690 0.8429 0.5000
Tl: 0.5000 0.5000 0.5000
Tl: 0.6310 0.1571 0.5000
Tl: 0.7837 0.9275 0.5000
Tl: 0.8429 0.3690 0.5000
Tl: 0.9275 0.7837 0.5000
Pd: 0.2480 0.4486 0.5000
Pd: 0.4486 0.2480 0.5000
Pd: 0.5514 0.7520 0.5000
Pd: 0.7520 0.5514 0.5000

=====

Copy entry 11 word for word.
For Pr11Tl9Pd4, a cell relaxed with GGA-PBE gives the computed powder X-ray diffraction pattern in this record (λ = 1.5418 Å (Cu Kα)).
Lines closer than 0.1° are merged.

Largest 10 diffraction maxima, by angle, 2θ from 5° to 70°:
29.3°, I = 11; 30.2°, I = 10; 30.8°, I = 11; 31.3°, I = 14; 33.0°, I = 100; 33.3°, I = 46; 35.8°, I = 12; 36.3°, I = 13; 46.9°, I = 16; 58.7°, I = 18

Cell and atoms:
Cell: 13.7362 13.7362 3.8724 Å, 90.00 90.00 112.74°
Fractional coordinates of all 24 atoms:
Pr: 0.0000 0.0000 0.0000
Pr: 0.0745 0.4143 0.0000
Pr: 0.1632 0.8368 0.0000
Pr: 0.3089 0.3089 0.0000
Pr: 0.3724 0.6276 0.0000
Pr: 0.4143 0.0745 0.0000
Pr: 0.5857 0.9255 0.0000
Pr: 0.6276 0.3724 0.0000
Pr: 0.6911 0.6911 0.0000
Pr: 0.8368 0.1632 0.0000
Pr: 0.9255 0.5857 0.0000
Tl: 0.0725 0.2163 0.5000
Tl: 0.1571 0.6310 0.5000
Tl: 0.2163 0.0725 0.5000
Tl: 0.3690 0.8429 0.5000
Tl: 0.5000 0.5000 0.5000
Tl: 0.6310 0.1571 0.5000
Tl: 0.7837 0.9275 0.5000
Tl: 0.8429 0.3690 0.5000
Tl: 0.9275 0.7837 0.5000
Pd: 0.2480 0.4486 0.5000
Pd: 0.4486 0.2480 0.5000
Pd: 0.5514 0.7520 0.5000
Pd: 0.7520 0.5514 0.5000

=====

Question: Which formula does entry 6 have?
Answer: La6NdSm3